Starting from a structure optimized by DFT (GGA-PBE), the powder diffractogram of MgCo2Pt was computed for CuKα.

Top 8 peaks for 2θ from 10° to 90°, by intensity:
2θ 41.3, d 2.185, I = 100
2θ 26.6, d 3.352, I = 75
2θ 49.3, d 1.847, I = 30
2θ 41.9, d 2.156, I = 23
2θ 86.9, d 1.121, I = 23
2θ 69.4, d 1.354, I = 21
2θ 56.9, d 1.618, I = 19
2θ 45.5, d 1.992, I = 19

Cell and atoms:
a b c (Å): 4.7639 4.7639 4.7639
angles (deg): 134.37 134.37 66.51
Positions (direct):
Mg  0.0000  0.0000  0.0000
Co  0.2500  0.7500  0.5000
Co  0.7500  0.2500  0.5000
Pt  0.5000  0.5000  0.0000

=====

Starting from a structure optimized by DFT (GGA-PBE), the powder diffractogram of Mg2Co2Pt was computed for CuKα.

Top 8 peaks for 2θ from 10° to 90°, by intensity:
2θ 22.4, d 3.963, I = 100
2θ 36.7, d 2.450, I = 86
2θ 51.8, d 1.765, I = 63
2θ 46.0, d 1.971, I = 63
2θ 30.3, d 2.947, I = 49
2θ 20.1, d 4.407, I = 47
2θ 28.6, d 3.116, I = 42
2θ 67.0, d 1.397, I = 41

Cell and atoms:
a b c (Å): 6.2330 6.2330 3.9628
angles (deg): 90.00 90.00 90.00
Positions (direct):
Mg  0.1793  0.3207  0.0000
Mg  0.3207  0.8207  0.0000
Mg  0.6793  0.1793  0.0000
Mg  0.8207  0.6793  0.0000
Co  0.1208  0.6208  0.5000
Co  0.3792  0.1208  0.5000
Co  0.6208  0.8792  0.5000
Co  0.8792  0.3792  0.5000
Pt  0.0000  0.0000  0.5000
Pt  0.5000  0.5000  0.5000

=====

Starting from a structure optimized by DFT (GGA-PBE), the powder diffractogram of RbMg14Co was computed for CuKα.

Top 8 peaks for 2θ from 10° to 90°, by intensity:
2θ 36.6, d 2.452, I = 100
2θ 35.9, d 2.499, I = 59
2θ 32.3, d 2.768, I = 49
2θ 33.9, d 2.645, I = 45
2θ 47.5, d 1.912, I = 24
2θ 62.4, d 1.487, I = 16
2θ 17.7, d 4.997, I = 16
2θ 70.3, d 1.339, I = 15

Cell and atoms:
a b c (Å): 10.5815 6.4958 6.4958
angles (deg): 58.44 90.00 90.00
Positions (direct):
Rb  0.0000  0.0000  0.0000
Mg  0.0000  0.0040  0.4928
Mg  0.0000  0.4928  0.0040
Mg  0.2082  0.6124  0.6124
Mg  0.2521  0.1335  0.6178
Mg  0.2521  0.6178  0.1335
Mg  0.2748  0.1331  0.1331
Mg  0.5000  0.4626  0.4626
Mg  0.5000  0.4714  0.9547
Mg  0.5000  0.9547  0.4714
Mg  0.5000  0.9591  0.9591
Mg  0.7252  0.1331  0.1331
Mg  0.7479  0.1335  0.6178
Mg  0.7479  0.6178  0.1335
Mg  0.7918  0.6124  0.6124
Co  0.0000  0.4374  0.4374

=====

Starting from a structure optimized by DFT (GGA-PBE), the powder diffractogram of RbMg2Co was computed for CuKα.

Top 8 peaks for 2θ from 10° to 90°, by intensity:
2θ 23.5, d 3.789, I = 100
2θ 37.0, d 2.432, I = 30
2θ 29.6, d 3.021, I = 28
2θ 48.9, d 1.861, I = 26
2θ 39.1, d 2.302, I = 25
2θ 48.0, d 1.894, I = 25
2θ 59.0, d 1.566, I = 15
2θ 21.7, d 4.099, I = 13

Cell and atoms:
a b c (Å): 9.2446 9.2446 9.2446
angles (deg): 141.85 141.85 55.05
Positions (direct):
Rb  0.3750  0.6250  0.7500
Rb  0.6250  0.3750  0.2500
Mg  0.0000  0.0000  0.0000
Mg  0.0000  0.0000  0.5000
Mg  0.0000  0.5000  0.0000
Mg  0.5000  0.0000  0.5000
Co  0.1250  0.8750  0.2500
Co  0.8750  0.1250  0.7500

=====

Starting from a structure optimized by DFT (GGA-PBE), the powder diffractogram of MgCoRe2 was computed for CuKα.

Top 8 peaks for 2θ from 10° to 90°, by intensity:
2θ 11.2, d 7.899, I = 100
2θ 40.4, d 2.234, I = 99
2θ 47.5, d 1.916, I = 33
2θ 35.0, d 2.562, I = 32
2θ 83.5, d 1.158, I = 24
2θ 68.2, d 1.375, I = 18
2θ 46.0, d 1.975, I = 15
2θ 48.2, d 1.888, I = 12

Cell and atoms:
a b c (Å): 2.7089 2.7089 7.8992
angles (deg): 90.00 90.00 90.00
Positions (direct):
Mg  0.0000  0.0000  0.0000
Co  0.5000  0.5000  0.7542
Re  0.0000  0.0000  0.5512
Re  0.5000  0.5000  0.2849

=====

Starting from a structure optimized by DFT (GGA-PBE), the powder diffractogram of Mg2CoSb2Ru was computed for CuKα.

Top 8 peaks for 2θ from 10° to 90°, by intensity:
2θ 25.2, d 3.537, I = 100
2θ 41.3, d 2.185, I = 76
2θ 41.7, d 2.166, I = 73
2θ 42.1, d 2.148, I = 73
2θ 14.2, d 6.235, I = 67
2θ 76.1, d 1.251, I = 24
2θ 75.3, d 1.262, I = 23
2θ 76.9, d 1.240, I = 22

Cell and atoms:
a b c (Å): 7.5722 7.5722 7.5722
angles (deg): 133.13 69.14 132.26
Positions (direct):
Mg  0.1403  0.2488  0.3891
Mg  0.3597  0.7488  0.1084
Mg  0.6403  0.2512  0.8916
Mg  0.8597  0.7512  0.6109
Co  0.2500  0.7500  0.5000
Co  0.7500  0.2500  0.5000
Sb  0.1245  0.7400  0.8645
Sb  0.3755  0.2400  0.6155
Sb  0.6245  0.7600  0.3845
Sb  0.8755  0.2600  0.1355
Ru  0.2500  0.2500  0.0000
Ru  0.7500  0.7500  0.0000

=====

Starting from a structure optimized by DFT (GGA-PBE), the powder diffractogram of MgCo2S4 was computed for CuKα.

Top 8 peaks for 2θ from 10° to 90°, by intensity:
2θ 36.9, d 2.438, I = 100
2θ 15.7, d 5.645, I = 85
2θ 53.6, d 1.710, I = 59
2θ 37.5, d 2.399, I = 48
2θ 16.0, d 5.555, I = 34
2θ 30.7, d 2.914, I = 21
2θ 52.4, d 1.745, I = 15
2θ 53.8, d 1.703, I = 14

Cell and atoms:
a b c (Å): 6.8414 6.8414 6.8414
angles (deg): 120.27 118.64 90.95
Positions (direct):
Mg  0.0000  0.0000  0.0000
Mg  0.5000  0.0000  0.5000
Co  0.0000  0.5000  0.5000
Co  0.5000  0.0000  0.0000
Co  0.5000  0.5000  0.0000
Co  0.5000  0.5000  0.5000
S  0.2660  0.2961  0.5301
S  0.2660  0.7359  0.9699
S  0.2725  0.7386  0.5339
S  0.2952  0.2614  0.0339
S  0.7048  0.7386  0.9661
S  0.7275  0.2614  0.4661
S  0.7340  0.2641  0.0301
S  0.7340  0.7039  0.4699

=====

Starting from a structure optimized by DFT (GGA-PBE), the powder diffractogram of Mg2V3CoS8 was computed for CuKα.

Top 8 peaks for 2θ from 10° to 90°, by intensity:
2θ 35.5, d 2.531, I = 100
2θ 15.2, d 5.812, I = 71
2θ 50.5, d 1.806, I = 50
2θ 51.5, d 1.774, I = 44
2θ 29.3, d 3.048, I = 37
2θ 46.6, d 1.947, I = 29
2θ 28.9, d 3.088, I = 20
2θ 29.5, d 3.029, I = 14

Cell and atoms:
a b c (Å): 7.2269 7.2269 7.2269
angles (deg): 58.82 58.82 58.82
Positions (direct):
Mg  0.1257  0.1257  0.1257
Mg  0.8743  0.8743  0.8743
V  0.0000  0.5000  0.5000
V  0.5000  0.0000  0.5000
V  0.5000  0.5000  0.0000
Co  0.5000  0.5000  0.5000
S  0.2611  0.2611  0.2611
S  0.2713  0.2713  0.7089
S  0.2713  0.7089  0.2713
S  0.2911  0.7287  0.7287
S  0.7089  0.2713  0.2713
S  0.7287  0.2911  0.7287
S  0.7287  0.7287  0.2911
S  0.7389  0.7389  0.7389

=====

Starting from a structure optimized by DFT (GGA-PBE), the powder diffractogram of MgCoSb4 was computed for CuKα.

Top 8 peaks for 2θ from 10° to 90°, by intensity:
2θ 34.1, d 2.628, I = 100
2θ 35.7, d 2.516, I = 74
2θ 17.6, d 5.032, I = 60
2θ 54.7, d 1.677, I = 33
2θ 60.0, d 1.541, I = 33
2θ 71.9, d 1.314, I = 28
2θ 41.4, d 2.179, I = 24
2θ 85.6, d 1.135, I = 21

Cell and atoms:
a b c (Å): 6.1629 6.1629 6.1629
angles (deg): 60.00 60.00 60.00
Positions (direct):
Mg  0.0000  0.0000  0.0000
Co  0.2500  0.2500  0.2500
Sb  0.1259  0.6247  0.6247
Sb  0.6247  0.1259  0.6247
Sb  0.6247  0.6247  0.1259
Sb  0.6247  0.6247  0.6247

=====

Starting from a structure optimized by DFT (GGA-PBE), the powder diffractogram of MgSc5Co was computed for CuKα.

Top 8 peaks for 2θ from 10° to 90°, by intensity:
2θ 35.3, d 2.545, I = 100
2θ 35.5, d 2.526, I = 54
2θ 24.2, d 3.680, I = 34
2θ 20.2, d 4.386, I = 30
2θ 31.7, d 2.826, I = 25
2θ 43.2, d 2.093, I = 22
2θ 38.1, d 2.364, I = 19
2θ 59.2, d 1.562, I = 17

Cell and atoms:
a b c (Å): 6.2866 6.2866 8.9125
angles (deg): 104.81 104.81 89.34
Positions (direct):
Mg  0.0804  0.9196  0.7500
Mg  0.9196  0.0804  0.2500
Sc  0.1526  0.6448  0.3490
Sc  0.2031  0.3212  0.9951
Sc  0.3212  0.2031  0.4951
Sc  0.3552  0.8474  0.1510
Sc  0.3912  0.6088  0.7500
Sc  0.6088  0.3912  0.2500
Sc  0.6448  0.1526  0.8490
Sc  0.6788  0.7969  0.5049
Sc  0.7969  0.6788  0.0049
Sc  0.8474  0.3552  0.6510
Co  0.0000  0.5000  0.5000
Co  0.5000  0.0000  0.0000

=====

Starting from a structure optimized by DFT (GGA-PBE), the powder diffractogram of Mg2Sc6Co was computed for CuKα.

Top 8 peaks for 2θ from 10° to 90°, by intensity:
2θ 34.4, d 2.605, I = 100
2θ 12.2, d 7.272, I = 86
2θ 36.6, d 2.453, I = 75
2θ 32.6, d 2.744, I = 46
2θ 37.0, d 2.429, I = 44
2θ 42.7, d 2.119, I = 42
2θ 42.8, d 2.114, I = 22
2θ 62.4, d 1.489, I = 22

Cell and atoms:
a b c (Å): 3.3215 8.3839 8.3839
angles (deg): 119.65 90.00 90.00
Positions (direct):
Mg  0.0000  0.1679  0.8321
Mg  0.0000  0.8321  0.1679
Sc  0.0000  0.2652  0.4979
Sc  0.0000  0.4979  0.2652
Sc  0.0000  0.7418  0.7418
Sc  0.5000  0.1179  0.1179
Sc  0.5000  0.5009  0.8762
Sc  0.5000  0.8762  0.5009
Co  0.5000  0.5079  0.5079

=====

Starting from a structure optimized by DFT (GGA-PBE), the powder diffractogram of Mg5Sc4Co2 was computed for CuKα.

Top 8 peaks for 2θ from 10° to 90°, by intensity:
2θ 11.6, d 7.617, I = 100
2θ 36.0, d 2.494, I = 67
2θ 40.1, d 2.248, I = 62
2θ 14.5, d 6.127, I = 53
2θ 35.9, d 2.498, I = 44
2θ 34.9, d 2.573, I = 28
2θ 35.4, d 2.539, I = 23
2θ 39.2, d 2.297, I = 20

Cell and atoms:
a b c (Å): 7.6444 3.3077 9.2315
angles (deg): 90.00 94.86 90.00
Positions (direct):
Mg  0.0000  0.0000  0.0000
Mg  0.0439  0.0000  0.3366
Mg  0.3328  0.0000  0.8566
Mg  0.6672  0.0000  0.1434
Mg  0.9561  0.0000  0.6634
Sc  0.3106  0.5000  0.5544
Sc  0.3274  0.5000  0.1711
Sc  0.6726  0.5000  0.8289
Sc  0.6894  0.5000  0.4456
Co  0.4277  0.0000  0.3622
Co  0.5723  0.0000  0.6378

=====

Starting from a structure optimized by DFT (GGA-PBE), the powder diffractogram of Mg2VCo5Si2 was computed for CuKα.

Top 8 peaks for 2θ from 10° to 90°, by intensity:
2θ 43.0, d 2.102, I = 100
2θ 41.3, d 2.184, I = 40
2θ 46.6, d 1.949, I = 37
2θ 22.1, d 4.027, I = 21
2θ 45.0, d 2.014, I = 19
2θ 40.5, d 2.227, I = 19
2θ 59.3, d 1.559, I = 18
2θ 51.1, d 1.789, I = 15

Cell and atoms:
a b c (Å): 9.0048 9.0048 3.1174
angles (deg): 90.00 90.00 90.00
Positions (direct):
Mg  0.1724  0.3276  0.0000
Mg  0.3276  0.8276  0.0000
Mg  0.6724  0.1724  0.0000
Mg  0.8276  0.6724  0.0000
V  0.0000  0.0000  0.0000
V  0.5000  0.5000  0.0000
Co  0.0000  0.5000  0.5000
Co  0.0673  0.7996  0.5000
Co  0.2004  0.0673  0.5000
Co  0.2996  0.5673  0.5000
Co  0.4327  0.2996  0.5000
Co  0.5000  0.0000  0.5000
Co  0.5673  0.7004  0.5000
Co  0.7004  0.4327  0.5000
Co  0.7996  0.9327  0.5000
Co  0.9327  0.2004  0.5000
Si  0.1266  0.6266  0.0000
Si  0.3734  0.1266  0.0000
Si  0.6266  0.8734  0.0000
Si  0.8734  0.3734  0.0000